Diffraction record for CeNd5Rh4. The powder X-ray diffraction pattern is simulated, not measured: it uses a cell relaxed with PBE and Cu Kα, 1.54184 Å.

Peak list (8 most intense, 10 to 80 degrees two-theta, low angle first)
index  2θ/deg  d (Å)  Rel. int.
3 1 0  26.56  3.355  18.1
1 1 -2  31.25  2.863  100.0
6 0 0  31.41  2.848  51.3
0 2 0  43.59  2.076  20.7
7 1 -2  44.01  2.058  40.0
5 1 2  45.76  1.983  34.6
2 0 -4  45.93  1.976  15.2
6 2 0  54.71  1.678  22.4

Lattice parameters (Å, degrees): 17.759 4.152 7.913 90.00 105.79 90.00
Space group C2/m (No. 12)
Asymmetric unit:
Ce 0.000 0.000 0.000 x2
Nd 0.000 0.000 0.500 x2
Nd 0.166 0.500 0.346 x4
Nd 0.168 0.500 0.855 x4
Rh 0.001 0.500 0.245 x4
Rh 0.167 0.000 0.108 x4